Starting from a crystal structure in Alexandria, relaxed with PBE, the powder X-ray diffraction pattern of Na4Bi2O5 was calculated for copper Kα.
Lines closer than 0.1° are merged.

Main lines, by angle (2θ = 5–70°):
- 12.3°, I = 63, (0 0 2)
- 18.9°, I = 54, (0 1 2)
- 21.8°, I = 100, (1 1 -3)
- 22.7°, I = 59, (2 0 0)
- 24.5°, I = 48, (2 1 -2)
- 31.1°, I = 58, (1 1 -5)

Cell lengths 8.9464, 6.2323, 16.3391 Å; angles 90.00, 118.66, 90.00 degrees
Fractional positions:
Na: 0.0697 0.1701 0.0711
Na: 0.0697 0.3299 0.5711
Na: 0.2338 0.5412 0.0327
Na: 0.2338 0.9588 0.5327
Na: 0.3139 0.0447 0.9440
Na: 0.3139 0.4553 0.4440
Na: 0.4002 0.6090 0.9029
Na: 0.4002 0.8910 0.4029
Na: 0.5998 0.1090 0.5971
Na: 0.5998 0.3910 0.0971
Na: 0.6861 0.5447 0.5560
Na: 0.6861 0.9553 0.0560
Na: 0.7662 0.0412 0.4673
Na: 0.7662 0.4588 0.9673
Na: 0.9303 0.6701 0.4289
Na: 0.9303 0.8299 0.9289
Bi: 0.0570 0.6896 0.1925
Bi: 0.0570 0.8104 0.6925
Bi: 0.4517 0.5613 0.6624
Bi: 0.4517 0.9387 0.1624
Bi: 0.5483 0.0613 0.8376
Bi: 0.5483 0.4387 0.3376
Bi: 0.9430 0.1896 0.3075
Bi: 0.9430 0.3104 0.8075
O: 0.0604 0.5930 0.8761
O: 0.0604 0.9070 0.3761
O: 0.1453 0.6941 0.5997
O: 0.1453 0.8059 0.0997
O: 0.2913 0.5853 0.3053
O: 0.2913 0.9147 0.8053
O: 0.3354 0.2035 0.0768
O: 0.3354 0.2965 0.5768
O: 0.4674 0.7491 0.0594
O: 0.4674 0.7509 0.5594
O: 0.5326 0.2491 0.4406
O: 0.5326 0.2509 0.9406
O: 0.6646 0.7035 0.4232
O: 0.6646 0.7965 0.9232
O: 0.7087 0.0853 0.1947
O: 0.7087 0.4147 0.6947
O: 0.8547 0.1941 0.9003
O: 0.8547 0.3059 0.4003
O: 0.9396 0.0930 0.6239
O: 0.9396 0.4070 0.1239